[1]
The following is a theoretical powder diffractogram of ErN4. It was derived from a GGA-PBE-relaxed structure, using CuKα.
Lines closer than 0.1° are merged.

Main lines, in order of rising 2θ (2θ = 5–70°):
| 2theta | I (rel.) |
| --- | --- |
| 18.85 | 100 |
| 26.78 | 86 |
| 32.95 | 15 |
| 38.23 | 29 |
| 42.96 | 49 |
| 47.29 | 37 |
| 55.18 | 19 |
| 58.84 | 24 |
| 62.37 | 16 |
| 65.79 | 8 |

Atomic structure:
```
data_ErN4
_cell_length_a 4.7081
_cell_length_b 4.7081
_cell_length_c 4.7081
_cell_angle_alpha 90.00
_cell_angle_beta 90.00
_cell_angle_gamma 90.00
_space_group_name_H-M_alt 'P m -3 m'
_space_group_IT_number 221
_space_group_name_Hall '-P 4 2 3'
loop_
_atom_site_label
_atom_site_type_symbol
_atom_site_fract_x
_atom_site_fract_y
_atom_site_fract_z
_atom_site_occupancy
Er1 Er 0.0000 0.0000 0.0000 1
N1 N 0.0000 0.0000 0.5000 1
N2 N 0.5000 0.5000 0.5000 1
```

[2]
The following is a theoretical powder diffractogram of Np2AgGe4Pt3. It was derived from a GGA-PBE-relaxed structure, using CuKα.
Lines closer than 0.1° are merged.

Main lines, in order of rising 2θ (2θ = 5–70°):
| 2theta | I (rel.) |
| --- | --- |
| 29.19 | 25 |
| 30.48 | 17 |
| 33.33 | 80 |
| 34.09 | 100 |
| 41.75 | 69 |
| 49.01 | 31 |
| 54.44 | 41 |
| 60.52 | 23 |
| 62.03 | 15 |
| 66.29 | 26 |

Atomic structure:
```
data_Np2AgGe4Pt3
_cell_length_a 4.3270
_cell_length_b 4.3270
_cell_length_c 10.2921
_cell_angle_alpha 90.00
_cell_angle_beta 90.00
_cell_angle_gamma 90.00
_space_group_name_H-M_alt 'P -4 m 2'
_space_group_IT_number 115
_space_group_name_Hall 'P -4 -2'
loop_
_atom_site_label
_atom_site_type_symbol
_atom_site_fract_x
_atom_site_fract_y
_atom_site_fract_z
_atom_site_occupancy
Np1 Np 0.0000 0.5000 0.2479 1
Ag1 Ag 0.0000 0.0000 0.5000 1
Ge1 Ge 0.0000 0.0000 0.0000 1
Ge2 Ge 0.0000 0.5000 0.6398 1
Ge3 Ge 0.5000 0.5000 0.0000 1
Pt1 Pt 0.0000 0.5000 0.8765 1
Pt2 Pt 0.5000 0.5000 0.5000 1
```

[3]
The following is a theoretical powder diffractogram of LiY2PbSe. It was derived from a GGA-PBE-relaxed structure, using CuKα.
Lines closer than 0.1° are merged.

Main lines, in order of rising 2θ (2θ = 5–70°):
| 2theta | I (rel.) |
| --- | --- |
| 23.72 | 41 |
| 24.05 | 46 |
| 24.63 | 40 |
| 25.36 | 36 |
| 30.39 | 63 |
| 31.03 | 100 |
| 31.44 | 89 |
| 37.29 | 46 |
| 41.56 | 63 |
| 42.90 | 43 |

Atomic structure:
```
data_LiY2PbSe
_cell_length_a 7.6056
_cell_length_b 4.2166
_cell_length_c 8.1117
_cell_angle_alpha 90.00
_cell_angle_beta 108.08
_cell_angle_gamma 90.00
_space_group_name_H-M_alt 'P 1 21/m 1'
_space_group_IT_number 11
_space_group_name_Hall '-P 2yb'
loop_
_atom_site_label
_atom_site_type_symbol
_atom_site_fract_x
_atom_site_fract_y
_atom_site_fract_z
_atom_site_occupancy
Li1 Li 0.0422 0.2500 0.1392 1
Y1 Y 0.2380 0.7500 0.5296 1
Y2 Y 0.3813 0.7500 0.1079 1
Pb1 Pb 0.1729 0.2500 0.8018 1
Se1 Se 0.3525 0.2500 0.3361 1
```

[4]
The following is a theoretical powder diffractogram of Hf6CuTc. It was derived from a GGA-PBE-relaxed structure, using CuKα.
Lines closer than 0.1° are merged.

Main lines, in order of rising 2θ (2θ = 5–70°):
| 2theta | I (rel.) |
| --- | --- |
| 30.06 | 13 |
| 35.75 | 7 |
| 36.61 | 100 |
| 39.39 | 45 |
| 48.31 | 8 |
| 54.24 | 8 |
| 56.94 | 15 |
| 64.03 | 15 |
| 68.71 | 7 |
| 69.62 | 31 |

Atomic structure:
```
data_Hf6CuTc
_cell_length_a 6.4655
_cell_length_b 6.4731
_cell_length_c 15.0712
_cell_angle_alpha 90.00
_cell_angle_beta 90.00
_cell_angle_gamma 90.00
_space_group_name_H-M_alt 'F m m m'
_space_group_IT_number 69
_space_group_name_Hall '-F 2 2'
loop_
_atom_site_label
_atom_site_type_symbol
_atom_site_fract_x
_atom_site_fract_y
_atom_site_fract_z
_atom_site_occupancy
Hf1 Hf 0.0000 0.0000 0.2505 1
Hf2 Hf 0.2500 0.2500 0.1088 1
Cu1 Cu 0.0000 0.0000 0.0000 1
Tc1 Tc 0.0000 0.0000 0.5000 1
```

[5]
The following is a theoretical powder diffractogram of KPaBeO4. It was derived from a GGA-PBE-relaxed structure, using CuKα.
Lines closer than 0.1° are merged.

Main lines, in order of rising 2θ (2θ = 5–70°):
| 2theta | I (rel.) |
| --- | --- |
| 12.51 | 100 |
| 23.93 | 64 |
| 24.61 | 27 |
| 25.17 | 16 |
| 29.37 | 19 |
| 30.22 | 14 |
| 31.04 | 20 |
| 33.28 | 18 |
| 38.61 | 17 |
| 40.59 | 14 |

Atomic structure:
```
data_KPaBeO4
_cell_length_a 5.3712
_cell_length_b 5.3847
_cell_length_c 7.3918
_cell_angle_alpha 90.00
_cell_angle_beta 106.78
_cell_angle_gamma 90.00
_space_group_name_H-M_alt 'P 1 21/m 1'
_space_group_IT_number 11
_space_group_name_Hall '-P 2yb'
loop_
_atom_site_label
_atom_site_type_symbol
_atom_site_fract_x
_atom_site_fract_y
_atom_site_fract_z
_atom_site_occupancy
K1 K 0.2138 0.2500 0.4330 1
Pa1 Pa 0.2590 0.2500 0.9487 1
Be1 Be 0.2742 0.7500 0.1682 1
O1 O 0.0698 0.7500 0.2938 1
O2 O 0.0705 0.7500 0.9447 1
O3 O 0.4707 0.5149 0.1779 1
```

[6]
The following is a theoretical powder diffractogram of Sm5Y2Sc2. It was derived from a GGA-PBE-relaxed structure, using CuKα.
Lines closer than 0.1° are merged.

Main lines, in order of rising 2θ (2θ = 5–70°):
| 2theta | I (rel.) |
| --- | --- |
| 15.53 | 16 |
| 27.85 | 24 |
| 29.30 | 21 |
| 30.12 | 28 |
| 31.18 | 55 |
| 32.11 | 100 |
| 32.31 | 23 |
| 34.57 | 37 |
| 34.89 | 28 |
| 63.17 | 28 |

Atomic structure:
```
data_Sm5Y2Sc2
_cell_length_a 19.7060
_cell_length_b 3.4667
_cell_length_c 8.5701
_cell_angle_alpha 90.00
_cell_angle_beta 102.86
_cell_angle_gamma 90.00
_space_group_name_H-M_alt 'C 1 2/m 1'
_space_group_IT_number 12
_space_group_name_Hall '-C 2y'
loop_
_atom_site_label
_atom_site_type_symbol
_atom_site_fract_x
_atom_site_fract_y
_atom_site_fract_z
_atom_site_occupancy
Sm1 Sm 0.0000 0.0000 0.0000 1
Sm2 Sm 0.1629 0.5000 0.9835 1
Sm3 Sm 0.2194 0.0000 0.6471 1
Y1 Y 0.0550 0.0000 0.6627 1
Sc1 Sc 0.0987 0.5000 0.3502 1
```